No. 1
# Th2TiGaN5
Calculated powder diffraction line list, Cu Ka. Input: a PBE-relaxed structure.
Intensities are scaled so that the largest is 100.

Structural model:
Lattice parameters (Å, degrees): 3.3511 13.9707 10.0273 90.00 90.00 90.00
Space group Cmc2_1 (No. 36)
Inequivalent atoms, fractional coordinates:
Th (0.0000, 0.1158, 0.0000)
Th (0.0000, 0.1315, 0.6087)
Ti (0.0000, 0.2142, 0.3177)
Ga (0.0000, 0.4527, 0.7771)
N (0.0000, 0.0521, 0.3693)
N (0.0000, 0.2874, 0.9643)
N (0.0000, 0.3087, 0.6856)
N (0.0000, 0.3509, 0.3160)
N (0.0000, 0.4987, 0.0951)

Top 12 peaks for 10° ≤ 2θ ≤ 90°, sorted by position:
2θ (°), d (Å), Rel. int.
17.69, 5.014, 48
25.50, 3.493, 56
27.37, 3.259, 41
29.63, 3.015, 100
31.21, 2.866, 70
32.78, 2.732, 78
32.93, 2.720, 55
38.59, 2.333, 62
46.00, 1.973, 32
47.15, 1.928, 29
57.06, 1.614, 29
63.51, 1.465, 34

---

No. 2
# Ti3Ga3N
Calculated powder diffraction line list, Cu Ka. Input: a PBE-relaxed structure.
Intensities are scaled so that the largest is 100.

Structural model:
Lattice parameters (Å, degrees): 11.6067 11.6067 11.6067 90.00 90.00 90.00
Space group Fd-3m (No. 227, origin choice 2)
Inequivalent atoms, fractional coordinates:
Ti (0.0562, 0.3750, 0.3750)
Ga (0.0000, 0.0000, 0.5000)
Ga (0.0342, 0.0342, 0.7158)
N (0.0000, 0.0000, 0.0000)

Top 12 peaks for 10° ≤ 2θ ≤ 90°, sorted by position:
2θ (°), d (Å), Rel. int.
13.21, 6.701, 12
30.81, 2.902, 13
37.98, 2.369, 24
40.38, 2.234, 100
44.14, 2.052, 35
46.28, 1.962, 9
46.97, 1.934, 10
54.80, 1.675, 8
68.61, 1.368, 24
70.23, 1.340, 8
75.00, 1.266, 8
82.73, 1.167, 16